# 1
Ir4Os5Ru2: calculated powder X-ray diffraction pattern (copper Kα), based on a DFT-relaxed cell (PBE, Alexandria).
Neutral-atom scattering factors, no anomalous dispersion.

Structural model:
Cell: 6.6841 17.7213 2.7307 Å, 90.00 90.00 90.00°
Space group Pbam (No. 55)
Inequivalent atoms, fractional coordinates:
Ir (0.0053, 0.1319, 0.0000) (multiplicity 4)
Ir (0.1670, 0.4562, 0.0000) (multiplicity 4)
Os (0.0000, 0.0000, 0.5000) (multiplicity 2)
Os (0.1615, 0.3253, 0.5000) (multiplicity 4)
Os (0.1691, 0.5929, 0.5000) (multiplicity 4)
Ru (0.1552, 0.7195, 0.0000) (multiplicity 4)

Most intense lines, 5 to 70 degrees two-theta, low angle first:
2θ 9.98, I = 31.4, (0 2 0)
2θ 38.01, I = 38.8, (1 7 0)
2θ 38.75, I = 75.5, (1 3 1)
2θ 40.82, I = 100.0, (3 1 0)
2θ 41.11, I = 94.0, (1 4 1)
2θ 43.02, I = 44.8, (1 8 0)
2θ 44.00, I = 36.4, (1 5 1)
2θ 44.92, I = 34.7, (2 7 0)
2θ 45.56, I = 47.3, (2 3 1)
2θ 47.65, I = 54.0, (2 4 1)



# 2
LiAcZn2Au2: calculated powder X-ray diffraction pattern (copper Kα), based on a DFT-relaxed cell (PBE, Alexandria).
Neutral-atom scattering factors, no anomalous dispersion.

Structural model:
Cell: 4.5719 4.5719 7.0704 Å, 90.00 90.00 120.00°
Space group P-3m1 (No. 164)
Inequivalent atoms, fractional coordinates:
Li (0.0000, 0.0000, 0.0000) (multiplicity 1)
Ac (0.0000, 0.0000, 0.5000) (multiplicity 1)
Zn (0.3333, 0.6667, 0.8280) (multiplicity 2)
Au (0.3333, 0.6667, 0.2111) (multiplicity 2)

Most intense lines, 5 to 70 degrees two-theta, low angle first:
2θ 25.79, I = 100.0, (1 0 1)
2θ 34.00, I = 71.4, (0 1 2)
2θ 38.19, I = 17.1, (0 0 3)
2θ 39.42, I = 71.1, (1 1 0)
2θ 44.75, I = 10.1, (0 1 3)
2θ 47.71, I = 19.8, (0 2 1)
2θ 53.02, I = 20.6, (2 0 2)
2θ 56.05, I = 33.9, (1 1 3)
2θ 63.55, I = 17.2, (2 1 1)
2θ 68.03, I = 19.7, (1 2 2)



# 3
ZnPt2W: calculated powder X-ray diffraction pattern (copper Kα), based on a DFT-relaxed cell (PBE, Alexandria).
Neutral-atom scattering factors, no anomalous dispersion.

Structural model:
Cell: 9.2326 2.7741 4.8499 Å, 90.00 97.80 90.00°
Space group Cm (No. 8)
Inequivalent atoms, fractional coordinates:
Zn (0.0000, 0.0000, 0.0000) (multiplicity 2)
Pt (0.0000, 0.5000, 0.4956) (multiplicity 2)
Pt (0.2527, 0.0000, 0.8156) (multiplicity 2)
W (0.2560, 0.5000, 0.3101) (multiplicity 2)

Most intense lines, 5 to 70 degrees two-theta, low angle first:
2θ 18.46, I = 6.7, (0 0 1)
2θ 37.43, I = 7.4, (0 0 2)
2θ 39.41, I = 100.0, (4 0 0)
2θ 39.95, I = 28.5, (2 0 -2)
2θ 44.94, I = 19.6, (2 0 2)
2θ 46.51, I = 42.0, (3 1 -1)
2θ 66.28, I = 14.0, (5 1 1)
2θ 67.04, I = 9.9, (1 1 -3)
2θ 67.53, I = 7.1, (0 2 0)
2θ 68.24, I = 6.1, (6 0 -2)